Record 1
Sr2CdCuS2O2: theoretical X-ray diffraction stick pattern (Cu Kα X-rays), based on a cell relaxed with PBE.
Lines closer than 0.1° are merged.

Cell and atoms:
```
data_Sr2CdCuS2O2
_chemical_formula_sum 'Sr4 Cd2 Cu2 S4 O4'
_symmetry_space_group_name_H-M 'I -4 m 2'
_symmetry_Int_Tables_number 119
_symmetry_space_group_name_Hall 'I -4 -2'
_cell_length_a 3.946
_cell_length_b 3.946
_cell_length_c 19.514
_cell_angle_alpha 90.00
_cell_angle_beta 90.00
_cell_angle_gamma 90.00
loop_
_atom_site_label
_atom_site_fract_x
_atom_site_fract_y
_atom_site_fract_z
Sr1 0.000 0.000 0.088
Cd1 0.000 0.500 0.250
Cu1 0.000 0.000 0.500
S1 0.000 0.000 0.336
O1 0.000 0.500 0.001
```

Main lines, sorted by position (2θ from 10° to 90°):
(1 0 1), 2θ = 22.99°, I = 44; (1 0 3), 2θ = 26.42°, I = 27; (1 0 5), 2θ = 32.26°, I = 100; (1 1 2), 2θ = 33.40°, I = 44; (1 1 4), 2θ = 37.12°, I = 40; (1 0 7), 2θ = 39.58°, I = 50; (2 0 0), 2θ = 46.00°, I = 46; (2 1 5), 2θ = 57.30°, I = 37

=====

Record 2
KTlBr4: theoretical X-ray diffraction stick pattern (Cu Kα X-rays), based on a cell relaxed with PBE.
Lines closer than 0.1° are merged.

Cell and atoms:
```
data_KTlBr4
_chemical_formula_sum 'K4 Tl4 Br16'
_symmetry_space_group_name_H-M 'P n n a'
_symmetry_Int_Tables_number 52
_cell_length_a 8.101
_cell_length_b 10.798
_cell_length_c 10.757
_cell_angle_alpha 90.00
_cell_angle_beta 90.00
_cell_angle_gamma 90.00
loop_
_symmetry_equiv_pos_as_xyz
'x,y,z'
'-x,-y,-z'
'-x+1/2,-y,z'
'x+1/2,y,-z'
'x,-y+1/2,-z+1/2'
'-x,y+1/2,z+1/2'
'-x+1/2,y+1/2,-z+1/2'
'x+1/2,-y+1/2,z+1/2'
loop_
_atom_site_label
_atom_site_fract_x
_atom_site_fract_y
_atom_site_fract_z
K1 0.181 0.250 0.250
Tl1 0.250 0.000 0.677
Br1 0.010 0.540 0.319
Br2 0.148 0.690 0.954
```

Main lines, sorted by position (2θ from 10° to 90°):
(1 0 1), 2θ = 13.68°, I = 55; (0 2 0), 2θ = 16.44°, I = 33; (1 1 2), 2θ = 21.45°, I = 100; (0 2 2), 2θ = 23.34°, I = 44; (2 1 1), 2θ = 24.89°, I = 30; (2 1 3), 2θ = 34.42°, I = 54; (2 3 3), 2θ = 41.98°, I = 29; (4 2 0), 2θ = 47.99°, I = 26